For V3O5, DFT lattice parameters and positions (PBE+U) gives the computed powder diffraction line list in this record (Cu Kα, 1.54184 Å).

Principal peaks in the range 2θ from 15° to 90°, in order of rising 2θ:
2θ 18.74, 4.735 Å, rel. 48, hkl 0 1 0; 2θ 26.59, 3.352 Å, rel. 71, hkl 0 1 -2; 2θ 30.42, 2.938 Å, rel. 39, hkl 1 0 -2; 2θ 33.22, 2.697 Å, rel. 100, hkl 1 -2 0; 2θ 34.59, 2.593 Å, rel. 43, hkl 2 -1 0; 2θ 51.35, 1.779 Å, rel. 39, hkl 1 2 0

Cell and atoms:
```
16
Lattice="5.186 0.000 0.000 -2.574 5.107 0.000 -0.062 -2.656 6.576" Properties=species:S:1:pos:R:3 pbc="T T T"
V 0.000 0.000 0.000
V -0.031 -1.328 3.288
V -0.013 3.031 1.820
V -0.024 1.707 5.117
V 2.574 0.744 1.459
V 2.562 -0.580 4.756
O -0.757 1.585 1.092
O -1.558 4.403 1.627
O -0.786 2.806 3.629
O 0.799 0.138 4.354
O 1.708 -1.715 6.169
O 0.841 4.166 0.407
O 1.750 2.313 2.222
O 3.335 -0.355 2.947
O 4.108 -1.952 4.949
O 3.307 0.866 5.484
```